This entry pairs a crystal structure of Cs2CdI4 with its calculated PXRD pattern. Radiation: CuKα. Structure: the PBE geometry in OQMD.

Main lines, by angle (2θ = 10–90°):
2θ/deg  d [Å]  intensity
20.1  4.414  329
20.8  4.273  390
23.0  3.865  641
23.8  3.740  285
24.7  3.598  574
25.1  3.544  591
26.9  3.312  1000
28.3  3.154  354
29.7  3.006  354
31.6  2.830  256
40.9  2.207  281
42.3  2.136  324

Structural model:
Unit cell a=11.0995 b=8.5452 c=15.4646 alpha=90.00 beta=90.00 gamma=90.00
Space group Pnma (No. 62)
Symmetry-distinct sites (fractional):
1 Cs 0.0183 0.2500 0.1666 [4 per cell]
2 Cs 0.1133 0.7500 0.4282 [4 per cell]
3 Cd 0.2216 0.7500 0.0753 [4 per cell]
4 I 0.0294 0.2500 0.9092 [4 per cell]
5 I 0.1732 0.5144 0.6540 [8 per cell]
6 I 0.1832 0.2500 0.4050 [4 per cell]